1.
# Sr3In3Hg
Theoretical powder diffraction line list, CuKα. Input: the GGA-PBE geometry in Alexandria.

Top 10 peaks for 2θ = 15–90°, low angle first:
2θ/deg	I_rel
19.73	18.3
27.73	49.7
28.08	38.0
28.73	17.7
32.26	28.4
34.16	18.8
34.48	100.0
36.70	51.4
51.24	16.7
55.92	20.2

Cell and atoms:
```
Sr3In3Hg
1.0
6.111 -2.448 0.000
6.111 2.448 0.000
-5.586 0.000 15.749
Sr In Hg
6 6 2
Cartesian
-1.690 0.000 6.062
-3.833 0.000 14.526
1.680 0.000 3.645
4.956 0.000 12.104
10.469 0.000 1.223
8.327 0.000 9.686
1.913 0.000 7.239
-0.353 0.000 14.531
1.461 0.000 12.099
5.175 0.000 3.649
6.989 0.000 1.218
4.723 0.000 8.510
-0.273 0.000 9.636
6.909 0.000 6.113
```


2.
# Ba3SrP
Theoretical powder diffraction line list, CuKα. Input: the GGA-PBE geometry in Alexandria.

Top 10 peaks for 2θ = 15–90°, low angle first:
2θ/deg	I_rel
23.88	100.0
24.04	25.8
26.06	22.9
29.37	31.8
33.59	9.9
38.30	21.9
42.19	10.7
43.73	16.3
45.05	11.1
47.21	10.9

Cell and atoms:
```
Ba3SrP
1.0
8.620 0.000 0.000
0.000 8.620 0.000
0.000 0.000 14.809
Ba Sr P
12 4 4
Cartesian
0.206 2.748 0.000
0.621 1.657 6.934
1.657 7.999 3.232
2.748 8.414 11.106
2.812 3.701 3.783
3.701 5.807 0.081
4.919 2.812 7.485
5.807 4.919 11.187
5.872 0.206 3.702
6.962 0.621 10.636
7.999 6.962 14.338
8.414 5.872 7.404
1.423 4.091 10.770
4.091 7.197 7.067
4.529 1.423 14.472
7.197 4.529 3.365
0.972 5.242 1.705
3.378 0.972 5.407
5.242 7.648 12.811
7.648 3.378 9.109
```


3.
# AsAu
Theoretical powder diffraction line list, CuKα. Input: the GGA-PBE geometry in Alexandria.

Top 10 peaks for 2θ = 15–90°, low angle first:
2θ/deg	I_rel
24.24	18.7
25.44	16.7
29.72	65.0
32.21	16.6
33.76	100.0
45.59	81.5
47.13	19.8
49.83	16.8
59.10	18.9
78.90	17.3

Cell and atoms:
```
AsAu
1.0
6.310 -1.830 0.000
6.310 1.830 0.000
-1.170 0.000 3.675
As Au
2 2
Cartesian
1.209 0.000 0.384
10.241 0.000 3.291
4.305 0.000 1.386
7.144 0.000 2.289
```


4.
# Sm2TmPuAs4
Theoretical powder diffraction line list, CuKα. Input: the GGA-PBE geometry in Alexandria.

Top 10 peaks for 2θ = 15–90°, low angle first:
2θ/deg	I_rel
26.27	28.5
30.42	100.0
43.53	37.6
43.60	37.5
51.54	7.2
54.03	19.9
63.26	8.3
71.86	22.6
79.86	8.6
80.04	14.8

Cell and atoms:
```
Sm2TmPuAs4
1.0
7.185 0.000 0.000
0.000 4.164 0.000
-2.395 0.000 6.782
Sm Tm Pu As
2 1 1 4
Cartesian
0.000 0.000 0.000
3.592 2.082 0.000
-1.198 2.082 3.391
2.395 0.000 3.391
-0.006 0.000 5.025
1.192 2.082 1.755
3.597 2.082 5.028
4.795 0.000 1.757
```


5.
# Tm2ZrSc4
Theoretical powder diffraction line list, CuKα. Input: the GGA-PBE geometry in Alexandria.

Top 10 peaks for 2θ = 15–90°, low angle first:
2θ/deg	I_rel
19.20	25.4
30.80	75.5
33.94	43.3
34.84	100.0
35.65	96.8
45.18	25.2
47.75	22.1
54.68	23.9
60.78	17.4
65.94	35.8

Cell and atoms:
```
Tm2ZrSc4
1.0
2.907 -1.678 0.000
2.907 1.678 0.000
-1.935 0.000 18.491
Tm Zr Sc
2 1 4
Cartesian
0.000 0.000 0.000
0.004 0.000 5.420
-0.002 0.000 10.693
0.000 0.000 15.783
1.942 0.000 2.712
3.877 0.000 8.210
3.875 0.000 13.200
```


6.
# PuTlCuO6
Theoretical powder diffraction line list, CuKα. Input: the GGA-PBE geometry in Alexandria.

Top 10 peaks for 2θ = 15–90°, low angle first:
2θ/deg	I_rel
21.35	27.4
26.51	100.0
33.83	44.3
36.38	9.9
43.49	26.6
50.52	41.9
56.21	25.5
59.66	10.5
60.53	13.8
77.44	10.2

Cell and atoms:
```
PuTlCuO6
1.0
5.299 0.000 0.000
-2.649 4.589 0.000
0.000 0.000 9.879
Pu Tl Cu O
2 2 2 12
Cartesian
0.000 3.059 2.470
2.649 1.530 7.409
0.000 0.000 0.000
0.000 0.000 4.940
0.000 3.059 7.409
2.649 1.530 2.470
-0.912 1.634 1.352
-1.690 2.982 3.587
0.912 1.634 3.587
-0.778 4.561 1.352
1.871 0.028 6.292
0.960 1.607 8.527
1.690 2.982 1.352
0.778 4.561 3.587
3.428 0.028 8.527
1.738 2.955 6.292
4.339 1.607 6.292
3.561 2.955 8.527
```


7.
# Tb7Ho2Tm2
Theoretical powder diffraction line list, CuKα. Input: the GGA-PBE geometry in Alexandria.

Top 10 peaks for 2θ = 15–90°, low angle first:
2θ/deg	I_rel
25.89	18.2
31.13	23.3
31.57	36.8
32.13	100.0
34.20	29.4
34.35	24.3
45.68	13.1
50.65	11.3
56.57	10.7
67.22	11.5

Cell and atoms:
```
Tb7Ho2Tm2
1.0
5.590 -5.668 0.000
5.590 5.668 0.000
-2.322 0.000 5.521
Tb Ho Tm
7 2 2
Cartesian
0.000 0.000 0.000
1.701 3.021 4.555
1.224 0.000 3.261
7.157 3.021 0.967
1.701 -3.021 4.555
7.634 0.000 2.261
7.157 -3.021 0.967
4.429 3.205 2.761
4.429 -3.205 2.761
4.182 0.000 1.100
4.676 0.000 4.422
```


8.
# InSn6Pb2
Theoretical powder diffraction line list, CuKα. Input: the GGA-PBE geometry in Alexandria.

Top 10 peaks for 2θ = 15–90°, low angle first:
2θ/deg	I_rel
32.67	100.0
33.15	96.9
47.23	36.7
58.35	13.1
58.58	26.0
58.68	13.0
66.33	27.1
68.39	8.3
78.25	11.6
85.15	9.7

Cell and atoms:
```
InSn6Pb2
1.0
4.755 -8.212 0.000
4.755 8.212 0.000
0.000 0.000 3.286
In Sn Pb
1 6 2
Cartesian
0.000 0.000 0.000
6.342 -5.468 1.643
3.168 5.468 1.643
6.342 5.468 1.643
3.179 0.000 1.643
3.168 -5.468 1.643
6.331 0.000 1.643
4.755 2.738 0.000
4.755 -2.738 0.000
```


9.
# K2TlSbSe4
Theoretical powder diffraction line list, CuKα. Input: the GGA-PBE geometry in Alexandria.

Top 10 peaks for 2θ = 15–90°, low angle first:
2θ/deg	I_rel
23.75	20.7
28.68	50.7
28.81	100.0
37.72	18.1
41.10	89.9
41.32	17.5
50.88	18.3
51.07	17.8
67.51	20.9
74.89	14.9

Cell and atoms:
```
K2TlSbSe4
1.0
-4.370 4.394 6.225
4.370 -4.394 6.225
4.370 4.394 -6.225
K Tl Sb Se
4 2 2 8
Cartesian
0.000 0.000 0.000
-2.185 2.197 3.112
0.000 4.394 0.000
2.185 2.197 3.112
4.370 0.000 0.000
0.000 0.000 6.225
2.185 2.197 -3.112
2.185 -2.197 3.112
4.370 -0.227 2.951
2.431 2.197 -0.168
6.310 2.197 -0.168
4.370 4.167 -2.951
0.000 0.227 9.176
-1.940 2.197 6.393
1.940 2.197 6.393
0.000 4.620 3.273
```